NaZn4H6SClO16: computed XRD peak list (Cu Ka), based on a DFT-relaxed cell (PBE, the Materials Project).
Kinematic intensities with the Lorentz-polarization factor, no thermal factor.

Crystal structure
Unit cell a=8.4255 b=8.4869 c=12.3852 alpha=90.95 beta=90.55 gamma=119.21
Space group P-1 (No. 2)
Asymmetric unit:
1 Na 0.1702 0.3133 0.0534 [2 per cell]
2 Zn 0.0920 0.8740 0.4889 [2 per cell]
3 Zn 0.2167 0.5871 0.5094 [2 per cell]
4 Zn 0.3715 0.2850 0.5041 [2 per cell]
5 Zn 0.5004 0.0051 0.6526 [2 per cell]
6 H 0.0284 0.6149 0.3460 [2 per cell]
7 H 0.1339 0.0929 0.6527 [2 per cell]
8 H 0.1770 0.7674 0.6671 [2 per cell]
9 H 0.2635 0.0856 0.3304 [2 per cell]
10 H 0.4114 0.6772 0.3374 [2 per cell]
11 H 0.4148 0.5276 0.6567 [2 per cell]
12 S 0.1706 0.3392 0.2692 [2 per cell]
13 Cl 0.4798 0.9539 0.1682 [2 per cell]
14 O 0.0074 0.3473 0.2289 [2 per cell]
15 O 0.0199 0.2507 0.8020 [2 per cell]
16 O 0.0216 0.6240 0.4241 [2 per cell]
17 O 0.1289 0.1029 0.5747 [2 per cell]
18 O 0.1286 0.1945 0.8184 [2 per cell]
19 O 0.1606 0.8610 0.9969 [2 per cell]
20 O 0.1649 0.1715 0.2243 [2 per cell]
21 O 0.1709 0.3358 0.3916 [2 per cell]
22 O 0.2219 0.0232 0.9797 [2 per cell]
23 O 0.2516 0.8137 0.6018 [2 per cell]
24 O 0.3112 0.0594 0.3972 [2 per cell]
25 O 0.3389 0.4984 0.2312 [2 per cell]
26 O 0.3503 0.6092 0.8441 [2 per cell]
27 O 0.3732 0.6094 0.9428 [2 per cell]
28 O 0.3993 0.5223 0.5785 [2 per cell]
29 O 0.4376 0.7508 0.4051 [2 per cell]

Largest 10 diffraction maxima, in order of falling intensity, 5 to 70 degrees two-theta:
two_theta	d [Å]	intensity
7.1	12.381	100.0
14.3	6.190	10.0
32.7	2.740	6.4
39.4	2.287	5.7
25.6	3.473	5.5
32.1	2.788	5.2
35.8	2.510	4.8
35.6	2.523	4.4
25.5	3.498	4.1
25.0	3.566	4.1


Zr6Be15Ni8: computed XRD peak list (Cu Ka), based on a DFT-relaxed cell (PBE, the Materials Project).
Kinematic intensities with the Lorentz-polarization factor, no thermal factor.

Crystal structure
Unit cell a=11.1036 b=11.1036 c=11.1036 alpha=90.00 beta=90.00 gamma=90.00
Space group Fm-3m (No. 225)
Asymmetric unit:
1 Zr 0.0000 0.0000 0.2095 [24 per cell]
2 Be 0.0000 0.0000 0.5000 [4 per cell]
3 Be 0.0000 0.2500 0.2500 [24 per cell]
4 Be 0.1776 0.1776 0.1776 [32 per cell]
5 Ni 0.1244 0.1244 0.3756 [32 per cell]

Largest 10 diffraction maxima, in order of falling intensity, 5 to 70 degrees two-theta:
two_theta	d [Å]	intensity
46.3	1.963	100.0
35.2	2.547	70.3
42.3	2.137	69.1
27.8	3.205	64.0
16.0	5.552	25.3
69.3	1.357	24.2
39.8	2.267	19.8
26.6	3.348	18.2
64.5	1.446	13.1
59.4	1.555	12.6


Sc2CoIr: computed XRD peak list (Cu Ka), based on a DFT-relaxed cell (PBE, the Materials Project).
Kinematic intensities with the Lorentz-polarization factor, no thermal factor.

Crystal structure
Unit cell a=6.3685 b=6.3685 c=6.3685 alpha=90.00 beta=90.00 gamma=90.00
Space group Fm-3m (No. 225)
Asymmetric unit:
1 Sc 0.2500 0.2500 0.2500 [8 per cell]
2 Co 0.0000 0.0000 0.0000 [4 per cell]
3 Ir 0.0000 0.0000 0.5000 [4 per cell]

Largest 8 diffraction maxima, in order of falling intensity, 5 to 70 degrees two-theta:
two_theta	d [Å]	intensity
40.0	2.252	100.0
24.2	3.677	33.5
28.0	3.184	28.7
47.3	1.920	18.0
57.9	1.592	16.4
65.6	1.424	11.4
49.6	1.838	8.6
63.7	1.461	7.8


Te4Mo3WSe2S2: computed XRD peak list (Cu Ka), based on a DFT-relaxed cell (PBE, the Materials Project).
Kinematic intensities with the Lorentz-polarization factor, no thermal factor.

Crystal structure
Unit cell a=3.4015 b=3.4015 c=40.6859 alpha=90.00 beta=90.00 gamma=120.00
Space group P3m1 (No. 156)
Asymmetric unit:
1 Te 0.0000 0.0000 0.0000 [1 per cell]
2 Te 0.0000 0.0000 0.0921 [1 per cell]
3 Te 0.6667 0.3333 0.1923 [1 per cell]
4 Te 0.6667 0.3333 0.2849 [1 per cell]
5 Mo 0.0000 0.0000 0.8604 [1 per cell]
6 Mo 0.6667 0.3333 0.0460 [1 per cell]
7 Mo 0.6667 0.3333 0.6727 [1 per cell]
8 W 0.0000 0.0000 0.2386 [1 per cell]
9 Se 0.0000 0.0000 0.6322 [1 per cell]
10 Se 0.0000 0.0000 0.7132 [1 per cell]
11 S 0.6667 0.3333 0.8235 [1 per cell]
12 S 0.6667 0.3333 0.8973 [1 per cell]

Largest 10 diffraction maxima, in order of falling intensity, 5 to 70 degrees two-theta:
two_theta	d [Å]	intensity
10.9	8.137	100.0
35.2	2.549	72.9
6.5	13.562	59.4
42.1	2.145	56.7
30.4	2.944	42.5
53.9	1.701	28.9
43.8	2.069	13.3
32.3	2.770	12.9
66.0	1.415	12.6
39.1	2.304	12.0


GaI2: computed XRD peak list (Cu Ka), based on a DFT-relaxed cell (PBE, the Materials Project).
Kinematic intensities with the Lorentz-polarization factor, no thermal factor.

Crystal structure
Unit cell a=27.0631 b=27.0631 c=7.7959 alpha=90.00 beta=90.00 gamma=120.00
Space group R3c (No. 161, hexagonal axes)
Asymmetric unit:
1 Ga 0.9997 0.1901 0.0000 [18 per cell]
2 Ga 0.1578 0.0032 0.5058 [18 per cell]
3 I 0.9996 0.0988 0.1112 [18 per cell]
4 I 0.0018 0.2514 0.2576 [18 per cell]
5 I 0.0870 0.2463 0.8030 [18 per cell]
6 I 0.1752 0.4184 0.4799 [18 per cell]

Largest 10 diffraction maxima, in order of falling intensity, 5 to 70 degrees two-theta:
two_theta	d [Å]	intensity
24.0	3.703	100.0
27.5	3.249	59.7
46.5	1.953	39.8
28.3	3.156	34.1
45.1	2.009	33.1
11.3	7.812	26.7
23.1	3.851	25.0
43.9	2.061	24.7
23.7	3.753	24.6
29.8	2.999	21.6


Mg3Te4O11: computed XRD peak list (Cu Ka), based on a DFT-relaxed cell (PBE, the Materials Project).
Kinematic intensities with the Lorentz-polarization factor, no thermal factor.

Crystal structure
Unit cell a=8.2009 b=8.2989 c=8.9205 alpha=65.36 beta=70.21 gamma=75.80
Space group P-1 (No. 2)
Asymmetric unit:
1 Mg 0.0231 0.3139 0.3484 [2 per cell]
2 Mg 0.4104 0.5140 0.3538 [2 per cell]
3 Mg 0.4477 0.1982 0.1066 [2 per cell]
4 Te 0.1832 0.8718 0.2197 [2 per cell]
5 Te 0.1967 0.6011 0.9469 [2 per cell]
6 Te 0.2409 0.2272 0.7732 [2 per cell]
7 Te 0.2974 0.9602 0.5483 [2 per cell]
8 O 0.0774 0.8766 0.6649 [2 per cell]
9 O 0.1223 0.4961 0.8296 [2 per cell]
10 O 0.1620 0.6620 0.4306 [2 per cell]
11 O 0.2150 0.2062 0.4797 [2 per cell]
12 O 0.2383 0.3906 0.1346 [2 per cell]
13 O 0.3014 0.9893 0.2912 [2 per cell]
14 O 0.3160 0.1289 0.9743 [2 per cell]
15 O 0.3375 0.9835 0.7571 [2 per cell]
16 O 0.3663 0.7241 0.1216 [2 per cell]
17 O 0.4255 0.3572 0.6067 [2 per cell]
18 O 0.4315 0.6250 0.8023 [2 per cell]

Largest 10 diffraction maxima, in order of falling intensity, 5 to 70 degrees two-theta:
two_theta	d [Å]	intensity
28.5	3.128	100.0
23.2	3.830	93.8
19.2	4.626	90.4
31.5	2.836	78.2
26.3	3.393	61.5
27.8	3.207	55.7
29.9	2.991	47.9
32.0	2.797	45.1
39.3	2.292	28.3
47.1	1.930	25.3